No. 1
The following is a simulated powder diffractogram of YZn3P3. It was derived from a crystal structure in the Materials Project, relaxed with PBE, using λ = 1.5418 Å (Cu Kα).
No peak broadening, texture or thermal motion is included.

Structure:
Unit cell a=3.9967 b=3.9967 c=19.8836 alpha=90.00 beta=90.00 gamma=120.00
Space group P6_3/mmc (No. 194)
Asymmetric unit:
Y1 0.0000 0.0000 0.0000 (multiplicity 2)
Zn1 0.3333 0.6667 0.1283 (multiplicity 4)
Zn2 0.3333 0.6667 0.7500 (multiplicity 2)
P1 0.3333 0.6667 0.2500 (multiplicity 2)
P2 0.3333 0.6667 0.5841 (multiplicity 4)

Principal peaks in the range 10 to 80 degrees two-theta, by intensity:
| hkl | 2θ (°) | I_rel |
| --- | --- | --- |
| 1 1 0 | 45.4 | 100 |
| 1 0 2 | 27.3 | 89 |
| 1 0 5 | 34.3 | 71 |
| 1 0 6 | 37.6 | 59 |
| 1 0 4 | 31.5 | 58 |
| 1 1 8 | 59.3 | 52 |
| 0 0 8 | 36.1 | 39 |
| 1 0 3 | 29.1 | 17 |
| 1 0 10 | 53.1 | 16 |
| 0 0 16 | 76.7 | 16 |

***

No. 2
The following is a simulated powder diffractogram of Zn3P. It was derived from a crystal structure in the Materials Project, relaxed with PBE, using λ = 1.5418 Å (Cu Kα).
No peak broadening, texture or thermal motion is included.

Structure:
Unit cell a=3.9755 b=3.9755 c=3.9755 alpha=90.00 beta=90.00 gamma=90.00
Space group Pm-3m (No. 221)
Asymmetric unit:
Zn1 0.0000 0.0000 0.5000 (multiplicity 3)
P1 0.5000 0.5000 0.5000 (multiplicity 1)

Principal peaks in the range 10 to 80 degrees two-theta, by intensity:
| hkl | 2θ (°) | I_rel |
| --- | --- | --- |
| 1 1 1 | 39.3 | 100 |
| 2 0 0 | 45.6 | 48 |
| 2 2 0 | 66.5 | 29 |
| 1 0 0 | 22.4 | 8 |
| 1 1 0 | 31.8 | 7 |
| 2 1 0 | 51.4 | 4 |
| 2 1 1 | 56.7 | 3 |
| 3 0 0 | 71.1 | 2 |
| 3 1 0 | 75.6 | 1 |

***

No. 3
The following is a simulated powder diffractogram of ZnP. It was derived from a crystal structure in the Materials Project, relaxed with PBE, using λ = 1.5418 Å (Cu Kα).
No peak broadening, texture or thermal motion is included.

Structure:
Unit cell a=3.6347 b=3.6347 c=6.9141 alpha=90.00 beta=90.00 gamma=120.00
Space group P6_3mc (No. 186)
Asymmetric unit:
Zn1 0.3333 0.6667 0.0000 (multiplicity 2)
P1 0.3333 0.6667 0.6633 (multiplicity 2)

Principal peaks in the range 10 to 80 degrees two-theta, by intensity:
| hkl | 2θ (°) | I_rel |
| --- | --- | --- |
| 1 0 1 | 31.2 | 100 |
| 1 0 3 | 49.0 | 74 |
| 1 0 0 | 28.4 | 60 |
| 1 1 0 | 50.2 | 46 |
| 0 0 2 | 25.8 | 39 |
| 1 1 2 | 57.3 | 24 |
| 2 0 3 | 72.8 | 22 |
| 1 0 2 | 38.7 | 20 |
| 2 0 1 | 60.3 | 14 |
| 1 1 4 | 76.0 | 9 |

***

No. 4
The following is a simulated powder diffractogram of Zn2P. It was derived from a crystal structure in the Materials Project, relaxed with PBE, using λ = 1.5418 Å (Cu Kα).
No peak broadening, texture or thermal motion is included.

Structure:
Unit cell a=5.2954 b=5.2954 c=5.2954 alpha=90.00 beta=90.00 gamma=90.00
Space group Pn-3m (No. 224, origin choice 2)
Asymmetric unit:
Zn1 0.0000 0.0000 0.0000 (multiplicity 4)
P1 0.2500 0.2500 0.2500 (multiplicity 2)

Principal peaks in the range 10 to 80 degrees two-theta, by intensity:
| hkl | 2θ (°) | I_rel |
| --- | --- | --- |
| 1 1 1 | 29.2 | 100 |
| 2 2 0 | 48.6 | 52 |
| 3 1 1 | 57.7 | 41 |
| 2 0 0 | 33.9 | 31 |
| 3 3 1 | 78.8 | 16 |
| 1 1 0 | 23.8 | 13 |
| 4 0 0 | 71.2 | 8 |
| 2 2 2 | 60.6 | 7 |
| 2 1 1 | 41.8 | 5 |
| 3 2 1 | 66.0 | 2 |

***

No. 5
The following is a simulated powder diffractogram of Zr2P. It was derived from a crystal structure in the Materials Project, relaxed with PBE, using λ = 1.5418 Å (Cu Kα).
No peak broadening, texture or thermal motion is included.

Structure:
Unit cell a=19.1543 b=29.6198 c=3.6377 alpha=90.00 beta=90.00 gamma=90.00
Space group Cmmm (No. 65)
Asymmetric unit:
Zr1 0.0000 0.0522 0.0000 (multiplicity 4)
Zr2 0.0000 0.1924 0.0000 (multiplicity 4)
Zr3 0.0000 0.2789 0.5000 (multiplicity 4)
Zr4 0.0000 0.4422 0.0000 (multiplicity 4)
Zr5 0.0806 0.1188 0.5000 (multiplicity 8)
Zr6 0.0896 0.3788 0.5000 (multiplicity 8)
Zr7 0.1066 0.5000 0.5000 (multiplicity 4)
Zr8 0.1158 0.0000 0.5000 (multiplicity 4)
Zr9 0.1299 0.2842 0.0000 (multiplicity 8)
Zr10 0.1887 0.1701 0.0000 (multiplicity 8)
Zr11 0.2479 0.4174 0.5000 (multiplicity 8)
Zr12 0.2494 0.0000 0.0000 (multiplicity 4)
Zr13 0.2500 0.2500 0.5000 (multiplicity 4)
P1 0.0000 0.3447 0.0000 (multiplicity 4)
P2 0.1069 0.2151 0.5000 (multiplicity 8)
P3 0.1449 0.4369 0.0000 (multiplicity 8)
P4 0.1495 0.0689 0.0000 (multiplicity 8)
P5 0.2059 0.3331 0.5000 (multiplicity 8)

Principal peaks in the range 10 to 80 degrees two-theta, by intensity:
| hkl | 2θ (°) | I_rel |
| --- | --- | --- |
| 6 0 1 | 37.5 | 100 |
| 4 6 1 | 35.9 | 89 |
| 8 4 0 | 39.5 | 78 |
| 0 8 1 | 34.6 | 68 |
| 6 8 0 | 37.2 | 59 |
| 0 0 2 | 50.2 | 50 |
| 4 2 1 | 31.5 | 47 |
| 2 12 0 | 37.6 | 45 |
| 4 8 0 | 30.5 | 33 |
| 2 6 1 | 32.0 | 28 |

***

No. 6
The following is a simulated powder diffractogram of ZrP3. It was derived from a crystal structure in the Materials Project, relaxed with PBE, using λ = 1.5418 Å (Cu Kα).
No peak broadening, texture or thermal motion is included.

Structure:
Unit cell a=3.7793 b=3.7793 c=9.0122 alpha=90.00 beta=90.00 gamma=90.00
Space group I4/mmm (No. 139)
Asymmetric unit:
Zr1 0.0000 0.0000 0.0000 (multiplicity 2)
P1 0.0000 0.0000 0.5000 (multiplicity 2)
P2 0.0000 0.5000 0.2500 (multiplicity 4)

Principal peaks in the range 10 to 80 degrees two-theta, by intensity:
| hkl | 2θ (°) | I_rel |
| --- | --- | --- |
| 1 1 2 | 39.2 | 100 |
| 1 0 1 | 25.6 | 36 |
| 2 0 0 | 48.2 | 27 |
| 0 0 4 | 40.0 | 23 |
| 2 0 4 | 64.3 | 22 |
| 0 0 2 | 19.7 | 16 |
| 1 1 6 | 72.1 | 16 |
| 1 0 3 | 38.3 | 13 |
| 1 1 0 | 33.5 | 9 |
| 2 1 1 | 55.3 | 9 |

***

No. 7
The following is a simulated powder diffractogram of PaSnPd2. It was derived from a crystal structure in the Materials Project, relaxed with PBE, using λ = 1.5418 Å (Cu Kα).
No peak broadening, texture or thermal motion is included.

Structure:
Unit cell a=6.8790 b=6.8790 c=6.8790 alpha=90.00 beta=90.00 gamma=90.00
Space group Fm-3m (No. 225)
Asymmetric unit:
Pa1 0.0000 0.0000 0.0000 (multiplicity 4)
Sn1 0.0000 0.0000 0.5000 (multiplicity 4)
Pd1 0.2500 0.2500 0.2500 (multiplicity 8)

Principal peaks in the range 10 to 80 degrees two-theta, by intensity:
| hkl | 2θ (°) | I_rel |
| --- | --- | --- |
| 2 2 0 | 37.0 | 100 |
| 4 2 2 | 66.6 | 36 |
| 4 0 0 | 53.3 | 18 |
| 4 4 0 | 78.7 | 11 |
| 1 1 1 | 22.4 | 8 |
| 2 0 0 | 25.9 | 6 |
| 3 1 1 | 43.6 | 4 |
| 4 2 0 | 60.2 | 3 |
| 2 2 2 | 45.7 | 2 |
| 3 3 1 | 58.5 | 2 |

***

No. 8
The following is a simulated powder diffractogram of PaTe2Pd. It was derived from a crystal structure in the Materials Project, relaxed with PBE, using λ = 1.5418 Å (Cu Kα).
No peak broadening, texture or thermal motion is included.

Structure:
Unit cell a=7.3023 b=7.3023 c=7.3023 alpha=90.00 beta=90.00 gamma=90.00
Space group Fm-3m (No. 225)
Asymmetric unit:
Pa1 0.0000 0.0000 0.0000 (multiplicity 4)
Te1 0.2500 0.2500 0.2500 (multiplicity 8)
Pd1 0.0000 0.0000 0.5000 (multiplicity 4)

Principal peaks in the range 10 to 80 degrees two-theta, by intensity:
| hkl | 2θ (°) | I_rel |
| --- | --- | --- |
| 2 2 0 | 34.7 | 100 |
| 4 2 2 | 62.3 | 37 |
| 4 0 0 | 50.0 | 18 |
| 4 4 0 | 73.3 | 11 |
| 1 1 1 | 21.1 | 9 |
| 3 1 1 | 41.0 | 5 |
| 2 0 0 | 24.4 | 3 |
| 3 3 1 | 54.8 | 2 |
| 5 3 1 | 77.3 | 2 |
| 5 1 1 | 66.5 | 2 |

***

No. 9
The following is a simulated powder diffractogram of Pm3Pa. It was derived from a crystal structure in the Materials Project, relaxed with PBE, using λ = 1.5418 Å (Cu Kα).
No peak broadening, texture or thermal motion is included.

Structure:
Unit cell a=4.9843 b=4.9843 c=10.1201 alpha=90.00 beta=90.00 gamma=90.00
Space group I4/mmm (No. 139)
Asymmetric unit:
Pm1 0.0000 0.0000 0.0000 (multiplicity 2)
Pm2 0.0000 0.5000 0.2500 (multiplicity 4)
Pa1 0.0000 0.0000 0.5000 (multiplicity 2)

Principal peaks in the range 10 to 80 degrees two-theta, by intensity:
| hkl | 2θ (°) | I_rel |
| --- | --- | --- |
| 1 1 2 | 30.9 | 100 |
| 2 0 0 | 36.0 | 33 |
| 3 1 2 | 61.6 | 28 |
| 2 0 4 | 51.5 | 24 |
| 0 0 4 | 35.5 | 17 |
| 1 1 6 | 60.9 | 15 |
| 2 2 4 | 64.4 | 12 |
| 2 2 0 | 51.9 | 12 |
| 4 0 0 | 76.4 | 4 |
| 1 0 1 | 19.9 | 4 |

***

No. 10
The following is a simulated powder diffractogram of PmPa. It was derived from a crystal structure in the Materials Project, relaxed with PBE, using λ = 1.5418 Å (Cu Kα).
No peak broadening, texture or thermal motion is included.

Structure:
Unit cell a=3.3216 b=3.3216 c=5.9494 alpha=90.00 beta=90.00 gamma=120.00
Space group P-6m2 (No. 187)
Asymmetric unit:
Pm1 0.0000 0.0000 0.0000 (multiplicity 1)
Pa1 0.3333 0.6667 0.5000 (multiplicity 1)

Principal peaks in the range 10 to 80 degrees two-theta, by intensity:
| hkl | 2θ (°) | I_rel |
| --- | --- | --- |
| 1 0 1 | 34.6 | 100 |
| 0 0 2 | 30.0 | 32 |
| 1 0 3 | 56.3 | 25 |
| 1 0 0 | 31.1 | 25 |
| 1 1 2 | 64.2 | 23 |
| 1 0 2 | 43.8 | 20 |
| 1 1 0 | 55.3 | 18 |
| 2 0 1 | 66.9 | 15 |
| 0 0 1 | 14.9 | 7 |
| 1 0 4 | 71.4 | 5 |

***

No. 11
The following is a simulated powder diffractogram of Pr3Pa. It was derived from a crystal structure in the Materials Project, relaxed with PBE, using λ = 1.5418 Å (Cu Kα).
No peak broadening, texture or thermal motion is included.

Structure:
Unit cell a=7.1849 b=7.1849 c=5.9043 alpha=90.00 beta=90.00 gamma=120.00
Space group P6_3/mmc (No. 194)
Asymmetric unit:
Pr1 0.1701 0.3401 0.2500 (multiplicity 6)
Pa1 0.3333 0.6667 0.7500 (multiplicity 2)

Principal peaks in the range 10 to 80 degrees two-theta, by intensity:
| hkl | 2θ (°) | I_rel |
| --- | --- | --- |
| 2 0 1 | 32.5 | 100 |
| 0 0 2 | 30.3 | 27 |
| 2 0 0 | 28.7 | 23 |
| 2 2 2 | 60.3 | 23 |
| 2 0 3 | 55.2 | 23 |
| 2 2 0 | 50.8 | 19 |
| 2 0 2 | 42.2 | 16 |
| 4 0 1 | 61.7 | 16 |
| 4 0 3 | 78.4 | 8 |
| 4 0 2 | 68.1 | 4 |